Theoretical powder X-ray diffraction pattern
Compound: TcAgPd14
Radiation: λ = 1.5418 Å (Cu Kα)
Structure: a crystal structure in Alexandria, relaxed with PBE

Largest 8 diffraction maxima, in order of rising 2θ, 15° ≤ 2θ ≤ 90°:
- d = 2.281 Å, 2θ = 39.50°, rel. 100
- d = 1.982 Å, 2θ = 45.77°, rel. 33
- d = 1.962 Å, 2θ = 46.27°, rel. 16
- d = 1.402 Å, 2θ = 66.73°, rel. 10
- d = 1.394 Å, 2θ = 67.12°, rel. 20
- d = 1.194 Å, 2θ = 80.41°, rel. 24
- d = 1.185 Å, 2θ = 81.14°, rel. 12
- d = 1.141 Å, 2θ = 85.05°, rel. 10

```
data_TcAgPd14
_chemical_formula_sum 'Tc1 Ag1 Pd14'
_cell_length_a 5.607
_cell_length_b 5.607
_cell_length_c 7.848
_cell_angle_alpha 90.00
_cell_angle_beta 90.00
_cell_angle_gamma 90.00
_space_group_name_H-M_alt 'P 4/m m m'
_space_group_IT_number 123
_space_group_name_Hall '-P 4 2'
loop_
_atom_site_label
_atom_site_type_symbol
_atom_site_fract_x
_atom_site_fract_y
_atom_site_fract_z
_atom_site_occupancy
Tc1 Tc 0.000 0.000 0.000 1
Ag1 Ag 0.500 0.500 0.000 1
Pd1 Pd 0.000 0.000 0.500 1
Pd2 Pd 0.000 0.500 0.000 1
Pd3 Pd 0.000 0.500 0.500 1
Pd4 Pd 0.245 0.245 0.247 1
Pd5 Pd 0.500 0.500 0.500 1
```